(1)
# USn2Ru2
Simulated XRD peak list, copper Kα. Input: a DFT-relaxed cell (PBE, Alexandria).

Top 10 peaks for 2θ = 10–90°, in order of rising 2θ:
- 30.7°, I 25
- 32.2°, I 85
- 35.6°, I 79
- 36.3°, I 100
- 36.8°, I 33
- 39.1°, I 44
- 39.6°, I 45
- 40.4°, I 27
- 43.0°, I 49
- 44.8°, I 27

Crystal structure
Cell lengths 9.8665, 6.3321, 6.7487 Å; angles 90.00, 95.89, 90.00 degrees
Atoms (fractional coordinates):
U 0.1532 0.1566 0.4812
U 0.1532 0.3434 0.9812
U 0.8468 0.6566 0.0188
U 0.8468 0.8434 0.5188
Sn 0.2170 0.6376 0.6084
Sn 0.2170 0.8624 0.1084
Sn 0.4889 0.2361 0.4918
Sn 0.4889 0.2639 0.9918
Sn 0.5111 0.7361 0.0082
Sn 0.5111 0.7639 0.5082
Sn 0.7830 0.1376 0.8916
Sn 0.7830 0.3624 0.3916
Ru 0.0175 0.5920 0.2838
Ru 0.0175 0.9080 0.7838
Ru 0.3105 0.0220 0.7351
Ru 0.3105 0.4780 0.2351
Ru 0.6895 0.5220 0.7649
Ru 0.6895 0.9780 0.2649
Ru 0.9825 0.0920 0.2162
Ru 0.9825 0.4080 0.7162

***

(2)
# TeAu
Simulated XRD peak list, copper Kα. Input: a DFT-relaxed cell (PBE, Alexandria).

Top 10 peaks for 2θ = 10–90°, in order of rising 2θ:
- 24.6°, I 100
- 28.4°, I 5
- 40.7°, I 77
- 48.1°, I 50
- 58.9°, I 13
- 64.7°, I 21
- 66.6°, I 2
- 74.0°, I 27
- 79.3°, I 16
- 88.0°, I 9

Crystal structure
Cell lengths 6.2768, 6.2768, 6.2768 Å; angles 90.00, 90.00, 90.00 degrees
Atoms (fractional coordinates):
Te 0.0000 0.0000 0.0000
Te 0.0000 0.5000 0.5000
Te 0.5000 0.0000 0.5000
Te 0.5000 0.5000 0.0000
Au 0.2500 0.2500 0.2500
Au 0.2500 0.7500 0.7500
Au 0.7500 0.2500 0.7500
Au 0.7500 0.7500 0.2500

***

(3)
# ErTlGeO4
Simulated XRD peak list, copper Kα. Input: a DFT-relaxed cell (PBE, Alexandria).

Top 10 peaks for 2θ = 10–90°, in order of rising 2θ:
- 22.0°, I 100
- 23.0°, I 55
- 28.6°, I 92
- 28.9°, I 68
- 30.2°, I 76
- 34.4°, I 53
- 37.3°, I 27
- 47.7°, I 30
- 52.9°, I 30
- 57.0°, I 32

Crystal structure
Cell lengths 5.8155, 5.9101, 7.7233 Å; angles 90.00, 108.23, 90.00 degrees
Atoms (fractional coordinates):
Er 0.1980 0.2500 0.0430
Er 0.8020 0.7500 0.9570
Tl 0.3359 0.2500 0.5915
Tl 0.6641 0.7500 0.4085
Ge 0.2623 0.7500 0.8491
Ge 0.7377 0.2500 0.1509
O 0.0525 0.5239 0.8380
O 0.0525 0.9761 0.8380
O 0.4543 0.7500 0.7111
O 0.4828 0.7500 0.0693
O 0.5172 0.2500 0.9307
O 0.5457 0.2500 0.2889
O 0.9475 0.0239 0.1620
O 0.9475 0.4761 0.1620

***

(4)
# As
Simulated XRD peak list, copper Kα. Input: a DFT-relaxed cell (PBE, Alexandria).

Top 10 peaks for 2θ = 10–90°, in order of rising 2θ:
- 11.2°, I 18
- 15.8°, I 33
- 22.4°, I 81
- 25.1°, I 29
- 30.1°, I 100
- 35.8°, I 20
- 37.8°, I 46
- 47.4°, I 88
- 49.4°, I 18
- 50.3°, I 23

Crystal structure
Cell lengths 11.2210, 11.2210, 3.6886 Å; angles 90.00, 90.00, 90.00 degrees
Atoms (fractional coordinates):
As 0.0242 0.7436 0.0000
As 0.1193 0.2890 0.5000
As 0.2110 0.6193 0.0000
As 0.2436 0.4758 0.5000
As 0.2564 0.0242 0.0000
As 0.2890 0.8807 0.5000
As 0.3807 0.2110 0.0000
As 0.4758 0.7564 0.5000
As 0.5242 0.2436 0.5000
As 0.6193 0.7890 0.0000
As 0.7110 0.1193 0.5000
As 0.7436 0.9758 0.0000
As 0.7564 0.5242 0.5000
As 0.7890 0.3807 0.0000
As 0.8807 0.7110 0.5000
As 0.9758 0.2564 0.0000

***

(5)
# PH6PbCBr3
Simulated XRD peak list, copper Kα. Input: a DFT-relaxed cell (PBE, Alexandria).

Top 10 peaks for 2θ = 10–90°, in order of rising 2θ:
- 14.4°, I 100
- 20.4°, I 29
- 28.9°, I 24
- 29.1°, I 52
- 31.3°, I 10
- 32.5°, I 13
- 32.6°, I 34
- 41.5°, I 18
- 41.6°, I 17
- 53.2°, I 10

Crystal structure
Cell lengths 6.1601, 6.1349, 6.1999 Å; angles 90.00, 95.46, 90.00 degrees
Atoms (fractional coordinates):
P 0.0000 0.0000 0.0000
H 0.0266 0.1869 0.1341
H 0.0266 0.8131 0.1341
H 0.1715 0.1472 0.7018
H 0.1715 0.8528 0.7018
H 0.3588 0.0000 0.8887
H 0.7871 0.0000 0.8973
Pb 0.6033 0.5000 0.4080
C 0.1946 0.0000 0.8028
Br 0.1131 0.5000 0.4038
Br 0.6069 0.0000 0.3653
Br 0.6506 0.5000 0.8722

***

(6)
# CeHf2Sc8
Simulated XRD peak list, copper Kα. Input: a DFT-relaxed cell (PBE, Alexandria).

Top 10 peaks for 2θ = 10–90°, in order of rising 2θ:
- 15.6°, I 49
- 21.2°, I 14
- 26.4°, I 13
- 27.0°, I 18
- 33.4°, I 22
- 34.3°, I 46
- 34.6°, I 38
- 35.7°, I 100
- 36.3°, I 23
- 37.2°, I 16

Crystal structure
Cell lengths 6.0520, 5.0384, 9.4603 Å; angles 90.00, 106.45, 90.00 degrees
Atoms (fractional coordinates):
Ce 0.0000 0.0000 0.0000
Hf 0.2379 0.5000 0.2072
Hf 0.7621 0.5000 0.7928
Sc 0.0735 0.0000 0.3498
Sc 0.2809 0.5000 0.5537
Sc 0.2805 0.5000 0.8805
Sc 0.4837 0.0000 0.7615
Sc 0.5163 0.0000 0.2385
Sc 0.7195 0.5000 0.1195
Sc 0.7191 0.5000 0.4463
Sc 0.9265 0.0000 0.6502